Theoretical powder X-ray diffraction pattern of Nd2SbS2F for Cu Kα X-rays, from the PBE geometry in OQMD.
Lines closer than 0.1° are merged.

Crystal structure
abc: 3.938 3.938 8.787
angles: 90.00 90.00 90.00
Fractional positions:
Nd1 0.000 0.500 0.203
Nd2 0.500 0.000 0.797
Sb1 0.000 0.000 0.500
S1 0.000 0.500 0.870
S2 0.500 0.000 0.130
F1 0.500 0.500 0.500

Main lines, low angle first (2θ from 10° to 80°):
| Position (°2θ) | Rel. int. |
| --- | --- |
| 24.8 | 91 |
| 30.5 | 55 |
| 33.8 | 50 |
| 38.3 | 100 |
| 46.1 | 34 |
| 47.4 | 20 |
| 53.0 | 26 |
| 56.3 | 32 |

=====

Theoretical powder X-ray diffraction pattern of BaNd2In2O7 for Cu Kα X-rays, from the PBE geometry in OQMD.
Lines closer than 0.1° are merged.

Crystal structure
abc: 5.918 5.918 20.566
angles: 90.00 90.00 90.00
Fractional positions:
Ba1 0.239 0.239 0.000
Ba2 0.261 0.739 0.500
Ba3 0.739 0.261 0.500
Ba4 0.761 0.761 0.000
Nd1 0.221 0.221 0.186
Nd2 0.221 0.221 0.814
Nd3 0.279 0.721 0.314
Nd4 0.279 0.721 0.686
Nd5 0.721 0.279 0.314
Nd6 0.721 0.279 0.686
Nd7 0.779 0.779 0.186
Nd8 0.779 0.779 0.814
In1 0.241 0.241 0.397
In2 0.241 0.241 0.603
In3 0.259 0.741 0.103
In4 0.259 0.741 0.897
In5 0.741 0.259 0.103
In6 0.741 0.259 0.897
In7 0.759 0.759 0.397
In8 0.759 0.759 0.603
O1 0.000 0.000 0.092
O2 0.000 0.000 0.363
O3 0.000 0.000 0.637
O4 0.000 0.000 0.908
O5 0.000 0.500 0.118
O6 0.000 0.500 0.382
O7 0.000 0.500 0.618
O8 0.000 0.500 0.882
O9 0.179 0.821 0.212
O10 0.179 0.821 0.788
O11 0.203 0.203 0.500
O12 0.297 0.703 0.000
O13 0.321 0.321 0.288
O14 0.321 0.321 0.712
O15 0.500 0.000 0.118
O16 0.500 0.000 0.382
O17 0.500 0.000 0.618
O18 0.500 0.000 0.882
O19 0.500 0.500 0.137
O20 0.500 0.500 0.408
O21 0.500 0.500 0.592
O22 0.500 0.500 0.863
O23 0.679 0.679 0.288
O24 0.679 0.679 0.712
O25 0.703 0.297 0.000
O26 0.797 0.797 0.500
O27 0.821 0.179 0.212
O28 0.821 0.179 0.788

Main lines, low angle first (2θ from 10° to 80°):
| Position (°2θ) | Rel. int. |
| --- | --- |
| 30.2 | 56 |
| 30.5 | 100 |
| 43.2 | 30 |
| 44.0 | 10 |
| 53.8 | 38 |
| 54.3 | 17 |
| 63.4 | 11 |
| 71.3 | 10 |

=====

Theoretical powder X-ray diffraction pattern of K2Te3Pd2 for Cu Kα X-rays, from the PBE geometry in OQMD.
Lines closer than 0.1° are merged.

Crystal structure
abc: 7.073 7.073 7.073
angles: 64.66 64.66 64.66
Fractional positions:
K1 0.000 0.000 0.000
K2 0.500 0.500 0.500
Te1 0.000 0.500 0.500
Te2 0.500 0.000 0.500
Te3 0.500 0.500 0.000
Pd1 0.250 0.250 0.250
Pd2 0.750 0.750 0.750

Main lines, low angle first (2θ from 10° to 80°):
| Position (°2θ) | Rel. int. |
| --- | --- |
| 14.5 | 29 |
| 15.9 | 71 |
| 17.2 | 85 |
| 27.8 | 56 |
| 34.8 | 100 |
| 37.9 | 24 |
| 48.1 | 39 |
| 52.0 | 31 |

=====

Theoretical powder X-ray diffraction pattern of FeC2S2N2 for Cu Kα X-rays, from the PBE geometry in OQMD.
Lines closer than 0.1° are merged.

Crystal structure
abc: 5.573 5.573 6.121
angles: 102.42 102.42 38.61
Fractional positions:
Fe1 0.000 0.000 0.000
C1 0.242 0.242 0.783
C2 0.758 0.758 0.217
S1 0.386 0.386 0.726
S2 0.614 0.614 0.274
N1 0.138 0.138 0.828
N2 0.862 0.862 0.172

Main lines, low angle first (2θ from 10° to 80°):
| Position (°2θ) | Rel. int. |
| --- | --- |
| 14.9 | 56 |
| 17.3 | 12 |
| 20.1 | 47 |
| 30.8 | 100 |
| 38.3 | 28 |
| 41.4 | 33 |
| 49.5 | 13 |
| 53.9 | 19 |

=====

Theoretical powder X-ray diffraction pattern of AlB4Mo3 for Cu Kα X-rays, from the PBE geometry in OQMD.
Lines closer than 0.1° are merged.

Crystal structure
abc: 3.090 3.167 8.393
angles: 90.00 90.00 90.00
Fractional positions:
Al1 0.000 0.000 0.000
B1 0.000 0.000 0.278
B2 0.000 0.000 0.722
B3 0.500 0.000 0.392
B4 0.500 0.000 0.608
Mo1 0.000 0.500 0.500
Mo2 0.500 0.500 0.197
Mo3 0.500 0.500 0.803

Main lines, low angle first (2θ from 10° to 80°):
| Position (°2θ) | Rel. int. |
| --- | --- |
| 28.2 | 77 |
| 30.8 | 35 |
| 32.0 | 50 |
| 36.1 | 100 |
| 42.3 | 73 |
| 43.1 | 94 |
| 46.4 | 82 |
| 70.4 | 62 |

=====

Theoretical powder X-ray diffraction pattern of BiPt9 for Cu Kα X-rays, from the PBE geometry in OQMD.
Lines closer than 0.1° are merged.

Crystal structure
abc: 2.990 3.816 41.434
angles: 90.00 90.00 90.00
Fractional positions:
Bi1 0.250 0.250 0.176
Bi2 0.750 0.750 0.824
Pt1 0.250 0.250 0.249
Pt2 0.250 0.250 0.316
Pt3 0.250 0.250 0.383
Pt4 0.250 0.250 0.450
Pt5 0.250 0.250 0.517
Pt6 0.250 0.250 0.583
Pt7 0.250 0.250 0.650
Pt8 0.250 0.250 0.717
Pt9 0.250 0.250 0.786
Pt10 0.750 0.750 0.214
Pt11 0.750 0.750 0.283
Pt12 0.750 0.750 0.350
Pt13 0.750 0.750 0.417
Pt14 0.750 0.750 0.483
Pt15 0.750 0.750 0.550
Pt16 0.750 0.750 0.617
Pt17 0.750 0.750 0.684
Pt18 0.750 0.750 0.751

Main lines, low angle first (2θ from 10° to 80°):
| Position (°2θ) | Rel. int. |
| --- | --- |
| 38.3 | 100 |
| 38.5 | 28 |
| 40.3 | 62 |
| 43.0 | 14 |
| 44.7 | 46 |
| 47.7 | 27 |
| 67.4 | 28 |
| 76.7 | 19 |

=====

Theoretical powder X-ray diffraction pattern of TbNdCN2O2 for Cu Kα X-rays, from the PBE geometry in OQMD.
Lines closer than 0.1° are merged.

Crystal structure
abc: 3.807 3.807 8.235
angles: 90.00 90.00 120.00
Fractional positions:
Tb1 0.000 0.000 0.000
Nd1 0.333 0.667 0.359
C1 0.667 0.333 0.682
N1 0.667 0.333 0.531
N2 0.667 0.333 0.831
O1 0.000 0.000 0.275
O2 0.333 0.667 0.069

Main lines, low angle first (2θ from 10° to 80°):
| Position (°2θ) | Rel. int. |
| --- | --- |
| 10.7 | 46 |
| 21.6 | 19 |
| 29.2 | 100 |
| 34.9 | 42 |
| 42.9 | 21 |
| 47.8 | 29 |
| 52.4 | 24 |
| 59.1 | 20 |

=====

Theoretical powder X-ray diffraction pattern of Ta2CoSi2Ir for Cu Kα X-rays, from the PBE geometry in OQMD.
Lines closer than 0.1° are merged.

Crystal structure
abc: 7.105 4.089 13.582
angles: 90.00 99.79 90.00
Fractional positions:
Ta1 0.000 0.000 0.000
Ta2 0.010 0.500 0.492
Ta3 0.233 0.000 0.734
Ta4 0.247 0.500 0.241
Ta5 0.480 0.000 0.481
Ta6 0.499 0.500 0.999
Ta7 0.743 0.000 0.234
Ta8 0.759 0.500 0.737
Co1 0.059 0.500 0.675
Co2 0.061 0.000 0.181
Co3 0.305 0.500 0.423
Co4 0.558 0.500 0.180
Si1 0.121 0.500 0.860
Si2 0.123 0.000 0.361
Si3 0.365 0.500 0.610
Si4 0.372 0.000 0.122
Si5 0.613 0.500 0.361
Si6 0.620 0.000 0.863
Si7 0.875 0.000 0.613
Si8 0.875 0.500 0.122
Ir1 0.308 0.000 0.928
Ir2 0.556 0.000 0.673
Ir3 0.808 0.000 0.425
Ir4 0.811 0.500 0.930

Main lines, low angle first (2θ from 10° to 80°):
| Position (°2θ) | Rel. int. |
| --- | --- |
| 26.7 | 100 |
| 44.2 | 74 |
| 44.3 | 37 |
| 52.3 | 15 |
| 52.4 | 31 |
| 64.4 | 12 |
| 70.9 | 12 |
| 71.0 | 6 |

=====

Theoretical powder X-ray diffraction pattern of Th2Ge5Ir3 for Cu Kα X-rays, from the PBE geometry in OQMD.
Lines closer than 0.1° are merged.

Crystal structure
abc: 8.447 8.447 8.447
angles: 104.96 90.58 137.03
Fractional positions:
Th1 0.134 0.229 0.362
Th2 0.366 0.729 0.095
Th3 0.634 0.271 0.905
Th4 0.866 0.771 0.638
Ge1 0.024 0.750 0.274
Ge2 0.102 0.656 0.758
Ge3 0.250 0.250 0.000
Ge4 0.398 0.156 0.554
Ge5 0.476 0.750 0.726
Ge6 0.524 0.250 0.274
Ge7 0.602 0.844 0.446
Ge8 0.750 0.750 0.000
Ge9 0.898 0.344 0.242
Ge10 0.976 0.250 0.726
Ir1 0.140 0.888 0.028
Ir2 0.250 0.750 0.500
Ir3 0.360 0.388 0.748
Ir4 0.640 0.612 0.252
Ir5 0.750 0.250 0.500
Ir6 0.860 0.112 0.972

Main lines, low angle first (2θ from 10° to 80°):
| Position (°2θ) | Rel. int. |
| --- | --- |
| 24.1 | 20 |
| 33.5 | 100 |
| 33.8 | 61 |
| 34.9 | 55 |
| 42.2 | 79 |
| 49.1 | 27 |
| 54.1 | 26 |
| 55.6 | 22 |

=====

Theoretical powder X-ray diffraction pattern of ErHg for Cu Kα X-rays, from the PBE geometry in OQMD.
Lines closer than 0.1° are merged.

Crystal structure
abc: 3.589 3.589 4.710
angles: 90.00 90.00 120.00
Fractional positions:
Er1 0.000 0.000 0.000
Hg1 0.667 0.333 0.500

Main lines, low angle first (2θ from 10° to 80°):
| Position (°2θ) | Rel. int. |
| --- | --- |
| 28.7 | 28 |
| 34.6 | 100 |
| 38.2 | 17 |
| 48.5 | 13 |
| 50.9 | 23 |
| 63.0 | 18 |
| 65.4 | 21 |
| 66.7 | 15 |

=====

Theoretical powder X-ray diffraction pattern of ZnCd2P2O8 for Cu Kα X-rays, from the PBE geometry in OQMD.
Lines closer than 0.1° are merged.

Crystal structure
abc: 4.819 5.579 6.722
angles: 74.38 84.79 69.78
Fractional positions:
Zn1 0.000 0.000 0.000
Cd1 0.291 0.278 0.317
Cd2 0.709 0.722 0.683
P1 0.370 0.326 0.787
P2 0.630 0.674 0.213
O1 0.206 0.614 0.672
O2 0.228 0.236 0.998
O3 0.309 0.690 0.174
O4 0.366 0.133 0.658
O5 0.634 0.867 0.342
O6 0.691 0.310 0.826
O7 0.772 0.764 0.002
O8 0.794 0.386 0.328

Main lines, low angle first (2θ from 10° to 80°):
| Position (°2θ) | Rel. int. |
| --- | --- |
| 21.5 | 51 |
| 24.0 | 65 |
| 24.9 | 44 |
| 28.7 | 100 |
| 30.6 | 79 |
| 34.1 | 39 |
| 37.8 | 35 |
| 41.9 | 35 |

=====

Theoretical powder X-ray diffraction pattern of FeMoCl6 for Cu Kα X-rays, from the PBE geometry in OQMD.
Lines closer than 0.1° are merged.

Crystal structure
abc: 6.068 6.069 6.531
angles: 90.08 117.66 119.92
Fractional positions:
Fe1 0.000 0.000 0.000
Mo1 0.000 0.500 0.500
Cl1 0.156 0.746 0.250
Cl2 0.160 0.906 0.750
Cl3 0.495 0.590 0.749
Cl4 0.505 0.410 0.251
Cl5 0.840 0.094 0.250
Cl6 0.844 0.254 0.750

Main lines, low angle first (2θ from 10° to 80°):
| Position (°2θ) | Rel. int. |
| --- | --- |
| 20.0 | 100 |
| 27.4 | 38 |
| 33.7 | 69 |
| 35.8 | 17 |
| 40.7 | 17 |
| 44.4 | 59 |
| 47.0 | 17 |
| 52.2 | 33 |

=====

Number 7 is which compound?
TbNdCN2O2

=====

Number 5 is which compound?
AlB4Mo3